Record 1
This entry pairs a crystal structure of Mn6O7F5 with its simulated XRD peak list. Radiation: Cu Kα (weighted mean of Kα1 and Kα2). Structure: DFT lattice parameters and positions (PBE+U).
No peak broadening, texture or thermal motion is included.

Peak list (10 most intense, 2θ = 10–80°, in order of rising 2θ)
hkl, d_spacing, 2theta, I (rel.)
1 -1 0, 3.563, 24.99, 55
1 1 0, 3.540, 25.16, 53
-1 1 3, 2.927, 30.54, 47
1 1 -3, 2.918, 30.64, 100
1 1 3, 2.902, 30.81, 41
0 2 -3, 2.469, 36.39, 41
1 -2 3, 2.178, 41.46, 20
2 0 -6, 1.708, 53.66, 24
2 0 6, 1.699, 53.97, 22
-2 2 3, 1.684, 54.50, 20

Structural model:
```
data_Mn6O7F5
_symmetry_space_group_name_H-M 'P 1'
_symmetry_Int_Tables_number 1
_symmetry_space_group_name_Hall 'P 1'
_cell_length_a 4.572
_cell_length_b 5.640
_cell_length_c 15.331
_cell_angle_alpha 90.12
_cell_angle_beta 90.31
_cell_angle_gamma 90.39
loop_
_atom_site_label
_atom_site_type_symbol
_atom_site_fract_x
_atom_site_fract_y
_atom_site_fract_z
_atom_site_occupancy
Mn1 Mn 0.000 0.000 0.000 1
Mn2 Mn 0.001 0.995 0.664 1
Mn3 Mn 0.009 0.703 0.831 1
Mn4 Mn 0.468 0.482 0.991 1
Mn5 Mn 0.476 0.182 0.488 1
Mn6 Mn 0.478 0.176 0.821 1
Mn7 Mn 0.481 0.182 0.159 1
Mn8 Mn 0.488 0.497 0.322 1
Mn9 Mn 0.496 0.492 0.653 1
Mn10 Mn 0.993 0.708 0.172 1
Mn11 Mn 0.996 0.707 0.504 1
Mn12 Mn 0.998 0.993 0.333 1
O1 O 0.217 0.943 0.895 1
O2 O 0.217 0.951 0.556 1
O3 O 0.220 0.945 0.226 1
O4 O 0.265 0.456 0.545 1
O5 O 0.266 0.457 0.214 1
O6 O 0.268 0.449 0.880 1
O7 O 0.276 0.226 0.049 1
O8 O 0.279 0.229 0.378 1
O9 O 0.280 0.233 0.712 1
O10 O 0.771 0.956 0.440 1
O11 O 0.772 0.959 0.108 1
O12 O 0.774 0.726 0.275 1
O13 O 0.777 0.724 0.607 1
O14 O 0.779 0.960 0.772 1
F1 F 0.227 0.723 0.063 1
F2 F 0.239 0.723 0.397 1
F3 F 0.262 0.733 0.720 1
F4 F 0.727 0.221 0.594 1
F5 F 0.729 0.219 0.930 1
F6 F 0.732 0.225 0.262 1
F7 F 0.739 0.472 0.101 1
F8 F 0.744 0.470 0.435 1
F9 F 0.745 0.723 0.947 1
F10 F 0.750 0.470 0.767 1
```

---

Record 2
This entry pairs a crystal structure of Mn6OF11 with its simulated XRD peak list. Radiation: Cu Kα (weighted mean of Kα1 and Kα2). Structure: DFT lattice parameters and positions (PBE+U).
No peak broadening, texture or thermal motion is included.

Peak list (10 most intense, 2θ = 10–80°, in order of rising 2θ)
hkl, d_spacing, 2theta, I (rel.)
2 0 -2, 3.517, 25.32, 100
0 2 0, 3.433, 25.95, 93
1 1 2, 2.756, 32.48, 51
3 1 0, 2.754, 32.52, 51
0 0 3, 2.417, 37.20, 23
1 1 -4, 1.847, 49.33, 35
5 1 -2, 1.845, 49.40, 35
1 3 2, 1.821, 50.08, 59
1 3 -4, 1.470, 63.26, 24
5 3 -2, 1.469, 63.32, 24

Structural model:
```
data_Mn6OF11
_symmetry_space_group_name_H-M 'C 1 2 1'
_symmetry_Int_Tables_number 5
_symmetry_space_group_name_Hall 'C 2y'
_cell_length_a 9.675
_cell_length_b 6.867
_cell_length_c 7.786
_cell_angle_alpha 90.00
_cell_angle_beta 111.25
_cell_angle_gamma 90.00
loop_
_atom_site_label
_atom_site_type_symbol
_atom_site_fract_x
_atom_site_fract_y
_atom_site_fract_z
_atom_site_occupancy
Mn1 Mn 0.000 0.000 0.000 1
Mn2 Mn 0.000 0.027 0.500 1
Mn3 Mn 0.157 0.536 0.158 1
Mn4 Mn 0.167 0.531 0.668 1
O1 O 0.000 0.725 0.000 1
F1 F 0.000 0.308 0.000 1
F2 F 0.065 0.528 0.371 1
F3 F 0.099 0.024 0.293 1
F4 F 0.167 0.224 0.666 1
F5 F 0.175 0.838 0.673 1
F6 F 0.227 0.022 0.033 1
```

---

Record 3
This entry pairs a crystal structure of Mn6OF11 with its simulated XRD peak list. Radiation: Cu Kα (weighted mean of Kα1 and Kα2). Structure: DFT lattice parameters and positions (PBE+U).
No peak broadening, texture or thermal motion is included.

Peak list (10 most intense, 2θ = 10–80°, in order of rising 2θ)
hkl, d_spacing, 2theta, I (rel.)
1 0 -1, 3.824, 23.26, 42
1 0 1, 3.766, 23.62, 37
1 3 -1, 3.122, 28.59, 100
1 3 1, 3.090, 28.90, 98
0 3 2, 2.585, 34.70, 23
1 6 0, 2.373, 37.91, 21
2 6 0, 1.828, 49.89, 49
2 3 -2, 1.803, 50.64, 36
2 3 2, 1.778, 51.39, 30
0 9 2, 1.537, 60.22, 30

Structural model:
```
data_Mn6OF11
_symmetry_space_group_name_H-M 'P 1 21 1'
_symmetry_Int_Tables_number 4
_symmetry_space_group_name_Hall 'P 2yb'
_cell_length_a 4.964
_cell_length_b 16.214
_cell_length_c 5.888
_cell_angle_alpha 90.00
_cell_angle_beta 90.89
_cell_angle_gamma 90.00
loop_
_atom_site_label
_atom_site_type_symbol
_atom_site_fract_x
_atom_site_fract_y
_atom_site_fract_z
_atom_site_occupancy
Mn1 Mn 0.231 0.000 0.065 1
Mn2 Mn 0.236 0.656 0.084 1
Mn3 Mn 0.240 0.497 0.395 1
Mn4 Mn 0.242 0.161 0.421 1
Mn5 Mn 0.254 0.327 0.076 1
Mn6 Mn 0.258 0.832 0.416 1
O1 O 0.040 0.547 0.162 1
F1 F 0.008 0.050 0.356 1
F2 F 0.016 0.220 0.145 1
F3 F 0.020 0.722 0.357 1
F4 F 0.030 0.387 0.363 1
F5 F 0.031 0.886 0.140 1
F6 F 0.462 0.107 0.136 1
F7 F 0.475 0.768 0.144 1
F8 F 0.478 0.271 0.358 1
F9 F 0.480 0.601 0.369 1
F10 F 0.486 0.436 0.143 1
F11 F 0.500 0.444 0.627 1
```

---

Record 4
This entry pairs a crystal structure of Mn3O4F2 with its simulated XRD peak list. Radiation: Cu Kα (weighted mean of Kα1 and Kα2). Structure: DFT lattice parameters and positions (PBE+U).
No peak broadening, texture or thermal motion is included.

Peak list (10 most intense, 2θ = 10–80°, in order of rising 2θ)
hkl, d_spacing, 2theta, I (rel.)
1 1 1, 3.343, 26.66, 100
-1 1 1, 3.203, 27.86, 96
0 2 -1, 2.552, 35.16, 54
1 1 -2, 2.532, 35.45, 50
1 2 -1, 2.251, 40.06, 17
1 -3 0, 1.700, 53.94, 28
-1 1 4, 1.682, 54.55, 28
2 2 2, 1.672, 54.93, 17
0 2 -4, 1.522, 60.88, 18
0 4 1, 1.380, 67.91, 26

Structural model:
```
data_Mn3O4F2
_symmetry_space_group_name_H-M 'P 1'
_symmetry_Int_Tables_number 1
_symmetry_space_group_name_Hall 'P 1'
_cell_length_a 4.633
_cell_length_b 5.563
_cell_length_c 7.610
_cell_angle_alpha 86.28
_cell_angle_beta 88.20
_cell_angle_gamma 88.17
loop_
_atom_site_label
_atom_site_type_symbol
_atom_site_fract_x
_atom_site_fract_y
_atom_site_fract_z
_atom_site_occupancy
Mn1 Mn 0.000 0.000 0.000 1
Mn2 Mn 0.007 0.332 0.665 1
Mn3 Mn 0.490 0.829 0.664 1
Mn4 Mn 0.498 0.493 0.984 1
Mn5 Mn 0.519 0.169 0.339 1
Mn6 Mn 0.947 0.660 0.323 1
O1 O 0.190 0.292 0.894 1
O2 O 0.295 0.786 0.892 1
O3 O 0.307 0.128 0.562 1
O4 O 0.683 0.204 0.099 1
O5 O 0.685 0.530 0.761 1
O6 O 0.692 0.864 0.435 1
O7 O 0.793 0.703 0.100 1
O8 O 0.804 0.371 0.430 1
F1 F 0.182 0.638 0.539 1
F2 F 0.195 0.958 0.243 1
F3 F 0.290 0.472 0.221 1
F4 F 0.799 0.029 0.763 1
```

---

Record 5
This entry pairs a crystal structure of Mn6O7F5 with its simulated XRD peak list. Radiation: Cu Kα (weighted mean of Kα1 and Kα2). Structure: DFT lattice parameters and positions (PBE+U).
No peak broadening, texture or thermal motion is included.

Peak list (10 most intense, 2θ = 10–80°, in order of rising 2θ)
hkl, d_spacing, 2theta, I (rel.)
1 1 0, 3.744, 23.76, 68
1 -1 0, 3.473, 25.65, 53
1 1 3, 3.018, 29.60, 55
1 1 -3, 3.004, 29.74, 52
-1 1 3, 2.865, 31.22, 100
0 2 3, 2.480, 36.22, 23
0 2 -3, 2.470, 36.37, 23
2 2 3, 1.759, 52.00, 22
2 0 6, 1.716, 53.38, 25
2 0 -6, 1.713, 53.49, 26

Structural model:
```
data_Mn6O7F5
_symmetry_space_group_name_H-M 'P 1'
_symmetry_Int_Tables_number 1
_symmetry_space_group_name_Hall 'P 1'
_cell_length_a 4.674
_cell_length_b 5.690
_cell_length_c 15.195
_cell_angle_alpha 89.73
_cell_angle_beta 89.87
_cell_angle_gamma 85.61
loop_
_atom_site_label
_atom_site_type_symbol
_atom_site_fract_x
_atom_site_fract_y
_atom_site_fract_z
_atom_site_occupancy
Mn1 Mn 0.000 0.000 0.000 1
Mn2 Mn 0.001 0.001 0.333 1
Mn3 Mn 0.435 0.487 0.322 1
Mn4 Mn 0.442 0.489 0.655 1
Mn5 Mn 0.447 0.500 0.993 1
Mn6 Mn 0.448 0.174 0.157 1
Mn7 Mn 0.450 0.173 0.831 1
Mn8 Mn 0.482 0.193 0.493 1
Mn9 Mn 0.935 0.991 0.665 1
Mn10 Mn 0.981 0.711 0.162 1
Mn11 Mn 0.986 0.694 0.488 1
Mn12 Mn 0.990 0.702 0.826 1
O1 O 0.183 0.946 0.221 1
O2 O 0.184 0.729 0.714 1
O3 O 0.196 0.951 0.890 1
O4 O 0.199 0.734 0.055 1
O5 O 0.209 0.727 0.382 1
O6 O 0.232 0.454 0.215 1
O7 O 0.240 0.458 0.545 1
O8 O 0.244 0.455 0.883 1
O9 O 0.257 0.231 0.048 1
O10 O 0.262 0.234 0.382 1
O11 O 0.686 0.227 0.604 1
O12 O 0.729 0.946 0.774 1
O13 O 0.751 0.964 0.103 1
O14 O 0.764 0.965 0.436 1
F1 F 0.194 0.962 0.560 1
F2 F 0.212 0.229 0.719 1
F3 F 0.683 0.450 0.767 1
F4 F 0.702 0.218 0.266 1
F5 F 0.703 0.469 0.421 1
F6 F 0.713 0.480 0.101 1
F7 F 0.721 0.713 0.266 1
F8 F 0.727 0.229 0.941 1
F9 F 0.733 0.721 0.593 1
F10 F 0.738 0.720 0.936 1
```

---

Record 6
This entry pairs a crystal structure of Mn6OF11 with its simulated XRD peak list. Radiation: Cu Kα (weighted mean of Kα1 and Kα2). Structure: DFT lattice parameters and positions (PBE+U).
No peak broadening, texture or thermal motion is included.

Peak list (10 most intense, 2θ = 10–80°, in order of rising 2θ)
hkl, d_spacing, 2theta, I (rel.)
2 0 -3, 3.171, 28.14, 54
0 2 3, 3.016, 29.62, 100
2 0 3, 2.955, 30.25, 45
2 2 -6, 1.905, 47.75, 55
4 0 0, 1.889, 48.17, 21
0 4 0, 1.850, 49.24, 25
2 2 6, 1.808, 50.48, 45
4 2 -3, 1.633, 56.35, 12
2 4 -3, 1.598, 57.68, 14
0 2 9, 1.571, 58.79, 21

Structural model:
```
data_Mn6OF11
_symmetry_space_group_name_H-M 'C 1 m 1'
_symmetry_Int_Tables_number 8
_symmetry_space_group_name_Hall 'C -2y'
_cell_length_a 7.577
_cell_length_b 7.402
_cell_length_c 15.654
_cell_angle_alpha 90.00
_cell_angle_beta 94.26
_cell_angle_gamma 90.00
loop_
_atom_site_label
_atom_site_type_symbol
_atom_site_fract_x
_atom_site_fract_y
_atom_site_fract_z
_atom_site_occupancy
Mn1 Mn 0.000 0.000 0.000 1
Mn2 Mn 0.007 0.000 0.669 1
Mn3 Mn 0.033 0.000 0.327 1
Mn4 Mn 0.045 0.500 0.325 1
Mn5 Mn 0.071 0.500 0.000 1
Mn6 Mn 0.080 0.500 0.667 1
Mn7 Mn 0.273 0.254 0.159 1
Mn8 Mn 0.287 0.251 0.827 1
Mn9 Mn 0.298 0.246 0.495 1
O1 O 0.275 0.500 0.076 1
O2 O 0.285 0.500 0.741 1
F1 F 0.005 0.291 0.739 1
F2 F 0.033 0.228 0.237 1
F3 F 0.035 0.278 0.410 1
F4 F 0.050 0.195 0.903 1
F5 F 0.057 0.197 0.574 1
F6 F 0.218 0.000 0.089 1
F7 F 0.220 0.000 0.760 1
F8 F 0.244 0.500 0.909 1
F9 F 0.248 0.500 0.573 1
F10 F 0.253 0.000 0.422 1
F11 F 0.266 0.500 0.248 1
F12 F 0.302 0.000 0.251 1
F13 F 0.316 0.500 0.414 1
F14 F 0.367 0.000 0.918 1
F15 F 0.371 0.000 0.586 1
F16 F 0.499 0.215 0.069 1
```

---

Record 7
This entry pairs a crystal structure of Mn3O4F2 with its simulated XRD peak list. Radiation: Cu Kα (weighted mean of Kα1 and Kα2). Structure: DFT lattice parameters and positions (PBE+U).
No peak broadening, texture or thermal motion is included.

Peak list (10 most intense, 2θ = 10–80°, in order of rising 2θ)
hkl, d_spacing, 2theta, I (rel.)
2 0 0, 3.379, 26.37, 100
0 2 0, 3.147, 28.36, 98
1 1 -3, 2.538, 35.36, 57
1 1 3, 2.524, 35.57, 50
3 1 -3, 1.745, 52.45, 31
3 1 3, 1.731, 52.90, 30
1 3 -3, 1.673, 54.87, 29
1 3 3, 1.669, 55.02, 27
3 3 -3, 1.373, 68.32, 21
3 3 3, 1.366, 68.73, 32

Structural model:
```
data_Mn3O4F2
_symmetry_space_group_name_H-M 'C 1 2/m 1'
_symmetry_Int_Tables_number 12
_symmetry_space_group_name_Hall '-C 2y'
_cell_length_a 6.759
_cell_length_b 6.293
_cell_length_c 9.090
_cell_angle_alpha 90.00
_cell_angle_beta 90.51
_cell_angle_gamma 90.00
loop_
_atom_site_label
_atom_site_type_symbol
_atom_site_fract_x
_atom_site_fract_y
_atom_site_fract_z
_atom_site_occupancy
Mn1 Mn 0.000 0.000 0.000 1
Mn2 Mn 0.000 0.500 0.500 1
Mn3 Mn 0.012 0.000 0.675 1
Mn4 Mn 0.021 0.500 0.166 1
O1 O 0.000 0.308 0.000 1
O2 O 0.012 0.305 0.330 1
O3 O 0.191 0.000 0.839 1
F1 F 0.188 0.000 0.487 1
F2 F 0.223 0.000 0.166 1
```

---

Record 8
This entry pairs a crystal structure of Mn3OF6 with its simulated XRD peak list. Radiation: Cu Kα (weighted mean of Kα1 and Kα2). Structure: DFT lattice parameters and positions (PBE+U).
No peak broadening, texture or thermal motion is included.

Peak list (10 most intense, 2θ = 10–80°, in order of rising 2θ)
hkl, d_spacing, 2theta, I (rel.)
0 0 1, 7.321, 12.09, 10
1 1 1, 4.549, 19.51, 100
1 0 -2, 2.760, 32.44, 16
1 -1 2, 2.738, 32.71, 15
-1 2 1, 2.717, 32.96, 17
2 1 -1, 2.189, 41.25, 26
2 0 3, 2.166, 41.70, 25
0 3 2, 2.133, 42.38, 25
0 1 -4, 1.618, 56.89, 9
-2 2 3, 1.616, 56.99, 14

Structural model:
```
data_Mn3OF6
_symmetry_space_group_name_H-M 'P -1'
_symmetry_Int_Tables_number 2
_symmetry_space_group_name_Hall '-P 1'
_cell_length_a 5.946
_cell_length_b 6.626
_cell_length_c 8.082
_cell_angle_alpha 70.22
_cell_angle_beta 73.55
_cell_angle_gamma 84.99
loop_
_atom_site_label
_atom_site_type_symbol
_atom_site_fract_x
_atom_site_fract_y
_atom_site_fract_z
_atom_site_occupancy
Mn1 Mn 0.070 0.146 0.281 1
Mn2 Mn 0.220 0.432 0.852 1
Mn3 Mn 0.355 0.719 0.434 1
O1 O 0.099 0.611 0.651 1
F1 F 0.095 0.695 0.941 1
F2 F 0.168 0.862 0.255 1
F3 F 0.230 0.013 0.495 1
F4 F 0.340 0.305 0.064 1
F5 F 0.348 0.190 0.754 1
F6 F 0.458 0.432 0.372 1
```

---

Record 9
This entry pairs a crystal structure of Mn3O5F with its simulated XRD peak list. Radiation: Cu Kα (weighted mean of Kα1 and Kα2). Structure: DFT lattice parameters and positions (PBE+U).
No peak broadening, texture or thermal motion is included.

Peak list (10 most intense, 2θ = 10–80°, in order of rising 2θ)
hkl, d_spacing, 2theta, I (rel.)
2 0 -2, 3.296, 27.05, 99
0 2 0, 3.156, 28.27, 94
1 1 2, 2.506, 35.83, 100
2 2 -2, 2.280, 39.53, 18
1 1 -4, 1.707, 53.70, 59
1 3 2, 1.667, 55.10, 53
4 0 -4, 1.648, 55.77, 16
0 4 0, 1.578, 58.48, 15
4 0 2, 1.500, 61.85, 16
1 3 -4, 1.356, 69.32, 50

Structural model:
```
data_Mn3O5F
_symmetry_space_group_name_H-M 'C 1 2/m 1'
_symmetry_Int_Tables_number 12
_symmetry_space_group_name_Hall '-C 2y'
_cell_length_a 8.906
_cell_length_b 6.313
_cell_length_c 7.249
_cell_angle_alpha 90.00
_cell_angle_beta 113.20
_cell_angle_gamma 90.00
loop_
_atom_site_label
_atom_site_type_symbol
_atom_site_fract_x
_atom_site_fract_y
_atom_site_fract_z
_atom_site_occupancy
Mn1 Mn 0.000 0.000 0.000 1
Mn2 Mn 0.000 0.000 0.500 1
Mn3 Mn 0.152 0.500 0.173 1
Mn4 Mn 0.170 0.500 0.660 1
O1 O 0.000 0.306 0.500 1
O2 O 0.069 0.500 0.876 1
O3 O 0.165 0.195 0.169 1
O4 O 0.235 0.000 0.539 1
F1 F 0.120 0.000 0.805 1
```